(1)
Diffraction record for BaLaGe. The powder XRD pattern is computed, not measured: it uses a DFT-relaxed cell (GGA-PBE, Alexandria) and Cu Kα (weighted mean of Kα1 and Kα2).

Main lines, by angle (2θ from 10° to 90°):
| 2theta | d (Å) | intensity |
| --- | --- | --- |
| 20.54 | 4.323 | 16 |
| 22.83 | 3.895 | 62 |
| 26.85 | 3.320 | 37 |
| 28.11 | 3.174 | 42 |
| 29.64 | 3.014 | 100 |
| 32.01 | 2.796 | 21 |
| 35.89 | 2.502 | 59 |
| 37.91 | 2.373 | 23 |
| 41.15 | 2.194 | 43 |
| 47.57 | 1.911 | 17 |
| 50.58 | 1.805 | 33 |
| 67.97 | 1.379 | 18 |

Structure:
Cell lengths 4.3872, 4.3872, 25.3944 Å; angles 90.00, 90.00, 90.00 degrees
Element x y z (fractional)
1 Ba 0.0000 0.0000 0.1764
2 Ba 0.0000 0.0000 0.8236
3 Ba 0.5000 0.5000 0.3236
4 Ba 0.5000 0.5000 0.6764
5 La 0.0000 0.5000 0.5496
6 La 0.0000 0.5000 0.9504
7 La 0.5000 0.0000 0.0496
8 La 0.5000 0.0000 0.4504
9 Ge 0.0000 0.5000 0.0733
10 Ge 0.0000 0.5000 0.4267
11 Ge 0.5000 0.0000 0.5733
12 Ge 0.5000 0.0000 0.9267

***

(2)
Diffraction record for KCeS2O8. The powder XRD pattern is computed, not measured: it uses a DFT-relaxed cell (GGA-PBE, Alexandria) and Cu Kα (weighted mean of Kα1 and Kα2).

Main lines, by angle (2θ from 10° to 90°):
| 2theta | d (Å) | intensity |
| --- | --- | --- |
| 14.86 | 5.963 | 100 |
| 17.00 | 5.214 | 38 |
| 18.46 | 4.805 | 39 |
| 19.02 | 4.665 | 42 |
| 24.92 | 3.573 | 72 |
| 25.40 | 3.506 | 71 |
| 25.95 | 3.434 | 41 |
| 27.54 | 3.239 | 75 |
| 29.27 | 3.052 | 56 |
| 29.98 | 2.981 | 48 |
| 32.28 | 2.773 | 55 |
| 33.81 | 2.651 | 37 |

Structure:
Cell lengths 5.5491, 7.0801, 9.1772 Å; angles 82.07, 88.07, 89.68 degrees
Element x y z (fractional)
1 K 0.2481 0.3321 0.1854
2 K 0.7519 0.6679 0.8146
3 Ce 0.2154 0.1929 0.7201
4 Ce 0.7846 0.8071 0.2799
5 S 0.2539 0.8199 0.0687
6 S 0.2636 0.7227 0.5573
7 S 0.7364 0.2773 0.4427
8 S 0.7461 0.1801 0.9313
9 O 0.0394 0.6891 0.0772
10 O 0.1052 0.6848 0.4372
11 O 0.1753 0.8954 0.6182
12 O 0.2004 0.9560 0.1757
13 O 0.2577 0.5583 0.6773
14 O 0.2940 0.9168 0.9169
15 O 0.4717 0.7030 0.1135
16 O 0.4831 0.2462 0.5011
17 O 0.5169 0.7538 0.4989
18 O 0.5283 0.2970 0.8865
19 O 0.7060 0.0832 0.0831
20 O 0.7423 0.4417 0.3227
21 O 0.7996 0.0440 0.8243
22 O 0.8247 0.1046 0.3818
23 O 0.8948 0.3152 0.5628
24 O 0.9606 0.3109 0.9228

***

(3)
Diffraction record for PmDy2Ag4. The powder XRD pattern is computed, not measured: it uses a DFT-relaxed cell (GGA-PBE, Alexandria) and Cu Kα (weighted mean of Kα1 and Kα2).

Main lines, by angle (2θ from 10° to 90°):
| 2theta | d (Å) | intensity |
| --- | --- | --- |
| 17.14 | 5.174 | 11 |
| 17.56 | 5.049 | 15 |
| 34.67 | 2.587 | 54 |
| 35.56 | 2.525 | 100 |
| 49.85 | 1.829 | 19 |
| 52.47 | 1.744 | 8 |
| 62.72 | 1.481 | 37 |
| 64.43 | 1.446 | 17 |
| 75.28 | 1.262 | 11 |
| 83.56 | 1.157 | 8 |
| 84.08 | 1.151 | 8 |
| 88.17 | 1.108 | 8 |

Structure:
Cell lengths 7.3176, 7.3176, 6.9759 Å; angles 90.00, 90.00, 90.00 degrees
Element x y z (fractional)
1 Pm 0.0000 0.0000 0.0000
2 Pm 0.5000 0.5000 0.5000
3 Dy 0.0000 0.5000 0.0000
4 Dy 0.0000 0.5000 0.5000
5 Dy 0.5000 0.0000 0.0000
6 Dy 0.5000 0.0000 0.5000
7 Ag 0.2500 0.2500 0.2500
8 Ag 0.2500 0.2500 0.7500
9 Ag 0.2500 0.7500 0.2500
10 Ag 0.2500 0.7500 0.7500
11 Ag 0.7500 0.2500 0.2500
12 Ag 0.7500 0.2500 0.7500
13 Ag 0.7500 0.7500 0.2500
14 Ag 0.7500 0.7500 0.7500

***

(4)
Diffraction record for Pr2InH12Rh3. The powder XRD pattern is computed, not measured: it uses a DFT-relaxed cell (GGA-PBE, Alexandria) and Cu Kα (weighted mean of Kα1 and Kα2).

Main lines, by angle (2θ from 10° to 90°):
| 2theta | d (Å) | intensity |
| --- | --- | --- |
| 27.80 | 3.209 | 46 |
| 29.48 | 3.030 | 32 |
| 32.81 | 2.729 | 62 |
| 33.55 | 2.671 | 100 |
| 34.58 | 2.594 | 67 |
| 34.98 | 2.565 | 67 |
| 52.95 | 1.729 | 27 |
| 53.95 | 1.700 | 38 |
| 57.42 | 1.605 | 43 |
| 61.18 | 1.515 | 28 |
| 69.04 | 1.360 | 18 |
| 81.90 | 1.176 | 15 |

Structure:
Cell lengths 6.0787, 6.0787, 6.0787 Å; angles 63.73, 63.73, 63.73 degrees
Element x y z (fractional)
1 Pr 0.1154 0.1154 0.1154
2 Pr 0.8846 0.8846 0.8846
3 In 0.5000 0.5000 0.5000
4 H 0.0978 0.6249 0.6249
5 H 0.1774 0.1774 0.6320
6 H 0.1774 0.6320 0.1774
7 H 0.3680 0.8226 0.8226
8 H 0.3751 0.3751 0.9022
9 H 0.3751 0.9022 0.3751
10 H 0.6249 0.0978 0.6249
11 H 0.6249 0.6249 0.0978
12 H 0.6320 0.1774 0.1774
13 H 0.8226 0.3680 0.8226
14 H 0.8226 0.8226 0.3680
15 H 0.9022 0.3751 0.3751
16 Rh 0.0000 0.5000 0.5000
17 Rh 0.5000 0.0000 0.5000
18 Rh 0.5000 0.5000 0.0000